For Er3Si13Ir4, a GGA-PBE-relaxed structure gives the simulated X-ray diffraction stick pattern in this record (Cu Kα (weighted mean of Kα1 and Kα2)).
Intensities are scaled so that the largest is 100.

Main lines, sorted by position (10° ≤ 2θ ≤ 80°):
| two_theta | d [Å] | intensity |
| --- | --- | --- |
| 20.32 | 4.370 | 68 |
| 22.75 | 3.909 | 54 |
| 28.89 | 3.090 | 49 |
| 35.58 | 2.523 | 100 |
| 37.09 | 2.424 | 49 |
| 41.32 | 2.185 | 64 |
| 51.21 | 1.784 | 40 |
| 71.62 | 1.318 | 44 |

Cell and atoms:
```
data_Er3Si13Ir4
_symmetry_space_group_name_H-M 'P m -3 n'
_symmetry_Int_Tables_number 223
_symmetry_space_group_name_Hall '-P 4n 2 3'
_cell_length_a 8.7398
_cell_length_b 8.7398
_cell_length_c 8.7398
_cell_angle_alpha 90.00
_cell_angle_beta 90.00
_cell_angle_gamma 90.00
loop_
_atom_site_label
_atom_site_type_symbol
_atom_site_fract_x
_atom_site_fract_y
_atom_site_fract_z
_atom_site_occupancy
Er1 Er 0.0000 0.2500 0.5000 1
Si1 Si 0.0000 0.0000 0.0000 1
Si2 Si 0.0000 0.2900 0.1358 1
Ir1 Ir 0.2500 0.2500 0.2500 1
```